The following is a computed powder diffraction line list of Eu3Ni7B2. It was derived from a crystal structure in the Materials Project, relaxed with GGA-PBE, using λ = 1.5418 Å (Cu Kα).
Lines closer than 0.1° are merged.

Top 8 peaks for 15° ≤ 2θ ≤ 90°, low angle first:
2θ/deg, I/Imax
31.6, 49
34.3, 39
36.5, 25
39.8, 53
42.6, 100
62.3, 24
67.2, 25
72.3, 21

Cell and atoms:
```
12
Lattice="7.2493 0.0000 0.0000 0.0000 2.6164 4.5246 0.0000 -2.6164 4.5246" Properties=species:S:1:pos:R:3 pbc="T T T"
Eu 0.0000 0.0000 0.0000
Eu 0.0000 0.0000 3.0198
Eu 3.6247 0.0000 3.0188
Ni 0.0000 0.0000 6.0342
Ni 2.2811 -1.2681 5.3036
Ni 2.2811 1.2681 5.3036
Ni 2.2801 0.0000 7.4969
Ni 4.9683 -1.2681 5.3036
Ni 4.9683 1.2681 5.3036
Ni 4.9692 0.0000 7.4969
B 3.6247 0.0000 0.0024
B 3.6247 0.0000 6.0345
```